Li13Pt3: computed XRD peak list (Cu Kα, 1.54184 Å), based on a structure optimized by DFT (GGA-PBE).
Neutral-atom scattering factors, no anomalous dispersion.

Structural model:
Cell lengths 5.6045, 9.2248, 9.9196 Å; angles 90.00, 90.00, 90.00 degrees
Space group Amm2 (No. 38)
Symmetry-distinct sites (fractional):
Li 0.0000 0.0000 0.0000 x2
Li 0.0000 0.0000 0.4725 x2
Li 0.0000 0.2211 0.3100 x4
Li 0.2580 0.0000 0.7453 x4
Li 0.2619 0.2219 0.0724 x8
Li 0.5000 0.0000 0.4627 x2
Li 0.5000 0.2422 0.3237 x4
Pt 0.2541 0.0000 0.2349 x4
Pt 0.5000 0.0000 0.9720 x2

Main lines, low angle first (10 to 80 degrees two-theta):
2θ (°)	I (rel.)	h k l
13.1	100.0	0 1 1
19.2	40.1	0 2 0
20.6	15.2	1 1 1
28.7	19.7	0 1 3
30.4	12.8	0 3 1
34.7	21.7	2 1 1
36.8	17.1	2 0 2
41.3	14.0	0 2 4
41.9	27.0	2 2 2
54.8	11.2	2 4 2

***

Li4Pt: computed XRD peak list (Cu Kα, 1.54184 Å), based on a structure optimized by DFT (GGA-PBE).
Neutral-atom scattering factors, no anomalous dispersion.

Structural model:
Cell lengths 6.0138, 6.0138, 4.0901 Å; angles 90.00, 90.00, 90.00 degrees
Space group I4/m (No. 87)
Symmetry-distinct sites (fractional):
Li 0.1098 0.2846 0.0000 x8
Pt 0.0000 0.0000 0.5000 x2

Main lines, low angle first (10 to 80 degrees two-theta):
2θ (°)	I (rel.)	h k l
20.9	89.6	1 1 0
26.4	100.0	1 0 1
29.7	36.3	2 0 0
40.1	76.9	2 1 1
42.5	14.6	2 2 0
47.8	23.1	1 3 0
49.5	18.9	1 1 2
50.7	18.0	3 0 1
59.9	21.0	3 2 1
67.2	16.8	1 3 2

***

Li5Pt3: computed XRD peak list (Cu Kα, 1.54184 Å), based on a structure optimized by DFT (GGA-PBE).
Neutral-atom scattering factors, no anomalous dispersion.

Structural model:
Cell lengths 7.5038, 7.5038, 4.8560 Å; angles 90.00, 90.00, 120.00 degrees
Space group P6_3/mcm (No. 193)
Symmetry-distinct sites (fractional):
Li 0.0000 0.2425 0.2500 x6
Li 0.3333 0.6667 0.0000 x4
Pt 0.0000 0.4138 0.7500 x6

Main lines, low angle first (10 to 80 degrees two-theta):
2θ (°)	I (rel.)	h k l
13.6	46.6	1 0 0
23.7	38.4	1 1 0
27.4	64.4	2 0 0
30.1	100.0	1 1 1
37.0	25.5	0 0 2
41.2	50.4	2 1 1
44.4	17.6	1 1 2
46.7	32.8	2 0 2
54.3	61.6	3 1 1
79.6	20.6	3 1 3

***

Li5Pt: computed XRD peak list (Cu Kα, 1.54184 Å), based on a structure optimized by DFT (GGA-PBE).
Neutral-atom scattering factors, no anomalous dispersion.

Structural model:
Cell lengths 8.3400, 4.1671, 5.4186 Å; angles 90.00, 101.95, 90.00 degrees
Space group C2/m (No. 12)
Symmetry-distinct sites (fractional):
Li 0.0000 0.0000 0.0000 x2
Li 0.1483 0.5000 0.7895 x4
Li 0.1738 0.5000 0.3384 x4
Pt 0.0000 0.0000 0.5000 x2

Main lines, low angle first (10 to 80 degrees two-theta):
2θ (°)	I (rel.)	h k l
16.7	100.0	0 0 1
21.8	53.5	2 0 0
24.0	83.3	1 1 0
24.6	39.3	2 0 -1
28.0	56.4	1 1 -1
30.3	22.3	2 0 1
30.7	45.0	1 1 1
39.6	31.1	3 1 0
39.9	30.3	1 1 -2
40.3	21.6	3 1 -1

***

LiPt2: computed XRD peak list (Cu Kα, 1.54184 Å), based on a structure optimized by DFT (GGA-PBE).
Neutral-atom scattering factors, no anomalous dispersion.

Structural model:
Cell lengths 2.7157, 2.7157, 6.8787 Å; angles 90.00, 90.00, 120.00 degrees
Space group P-3m1 (No. 164)
Symmetry-distinct sites (fractional):
Li 0.0000 0.0000 0.0000 x1
Pt 0.3333 0.6667 0.6874 x2

Main lines, low angle first (10 to 80 degrees two-theta):
2θ (°)	I (rel.)	h k l
12.9	52.7	0 0 1
25.9	37.8	0 0 2
38.3	20.3	1 0 0
39.3	23.4	0 0 3
40.5	100.0	1 0 1
46.8	49.9	0 1 2
56.0	18.0	1 0 3
67.5	25.0	1 0 4
69.2	15.9	1 1 0
75.2	11.8	1 1 2

***

Li3Pt: computed XRD peak list (Cu Kα, 1.54184 Å), based on a structure optimized by DFT (GGA-PBE).
Neutral-atom scattering factors, no anomalous dispersion.

Structural model:
Cell lengths 3.8288, 3.8288, 3.8288 Å; angles 90.00, 90.00, 90.00 degrees
Space group Pm-3m (No. 221)
Symmetry-distinct sites (fractional):
Li 0.0000 0.0000 0.5000 x3
Pt 0.5000 0.5000 0.5000 x1

Main lines, low angle first (10 to 80 degrees two-theta):
2θ (°)	I (rel.)	h k l
23.2	100.0	1 0 0
33.1	82.5	1 1 0
40.8	38.4	1 1 1
47.5	18.8	2 0 0
53.5	43.2	2 1 0
59.1	32.1	2 1 1
69.4	12.2	2 2 0
74.3	20.7	3 0 0
79.1	14.1	3 1 0